Record 1
Diffraction record for VCuO3. The X-ray powder pattern is theoretical, not measured: it uses DFT lattice parameters and positions (GGA+U) and a wavelength of 1.5418 Å.

Peak list (6 most intense, 10 to 90 degrees two-theta, by intensity)
Position (°2θ)	intensity	h k l
17.9	100	0 0 1
20.8	68	0 1 1
19.1	42	0 1 0
33.3	41	1 -1 0
32.9	41	1 1 1
30.8	36	0 1 -1

Cell and atoms:
abc: 3.2224 5.0103 5.5326
angles: 68.88 74.67 89.10
Space group P1 (No. 1)
Symmetry-distinct sites (fractional):
V  0.0000  0.0000  0.0000 [1 per cell]
Cu  0.3678  0.3876  0.3049 [1 per cell]
O  0.1507  0.1328  0.6612 [1 per cell]
O  0.4509  0.8066  0.1191 [1 per cell]
O  0.9450  0.2814  0.1094 [1 per cell]


Record 2
Diffraction record for Fe4O5F3. The X-ray powder pattern is theoretical, not measured: it uses DFT lattice parameters and positions (GGA+U) and a wavelength of 1.5418 Å.

Peak list (6 most intense, 10 to 90 degrees two-theta, by intensity)
Position (°2θ)	intensity	h k l
25.0	100	4 0 -1
35.2	90	0 2 1
27.8	88	4 0 1
51.0	60	4 2 -2
54.1	48	4 2 2
66.6	19	0 2 3

Cell and atoms:
abc: 19.1834 6.0291 4.7868
angles: 90.00 95.85 90.00
Space group Cm (No. 8)
Symmetry-distinct sites (fractional):
Fe  0.0000  0.0000  0.0000 [2 per cell]
Fe  0.0101  0.5000  0.9574 [2 per cell]
Fe  0.1350  0.2427  0.4591 [4 per cell]
Fe  0.2479  0.0000  0.0042 [2 per cell]
Fe  0.2602  0.5000  0.9618 [2 per cell]
Fe  0.3862  0.2553  0.4536 [4 per cell]
O  0.0564  0.2609  0.1614 [4 per cell]
O  0.1781  0.0000  0.2802 [2 per cell]
O  0.2087  0.2579  0.7757 [4 per cell]
O  0.3059  0.2529  0.1626 [4 per cell]
O  0.4306  0.5000  0.2788 [2 per cell]
O  0.4601  0.2408  0.7701 [4 per cell]
F  0.0844  0.0000  0.6564 [2 per cell]
F  0.0865  0.5000  0.6556 [2 per cell]
F  0.1817  0.5000  0.2766 [2 per cell]
F  0.3363  0.5000  0.6612 [2 per cell]
F  0.3386  0.0000  0.6389 [2 per cell]
F  0.4318  0.0000  0.2657 [2 per cell]


Record 3
Diffraction record for Li9Mn2Co5O16. The X-ray powder pattern is theoretical, not measured: it uses DFT lattice parameters and positions (GGA+U) and a wavelength of 1.5418 Å.

Peak list (6 most intense, 10 to 90 degrees two-theta, by intensity)
Position (°2θ)	intensity	h k l
18.2	100	0 0 4
42.6	29	-1 1 5
35.4	29	-1 1 1
43.0	28	0 2 -6
44.3	26	1 1 5
36.6	12	1 1 1

Cell and atoms:
abc: 2.9115 5.1499 19.5565
angles: 95.01 91.26 91.66
Space group P-1 (No. 2)
Symmetry-distinct sites (fractional):
Li  0.0000  0.0000  0.0000 [1 per cell]
Li  0.0042  0.1229  0.3710 [2 per cell]
Li  0.0047  0.3754  0.1219 [2 per cell]
Li  0.4972  0.6240  0.3729 [2 per cell]
Li  0.4969  0.8852  0.1192 [2 per cell]
Mn  0.5000  0.0000  0.5000 [1 per cell]
Mn  0.5000  0.5000  0.0000 [1 per cell]
Co  0.0000  0.5000  0.5000 [1 per cell]
Co  0.0011  0.7499  0.2497 [2 per cell]
Co  0.5003  0.2499  0.2492 [2 per cell]
O  0.0127  0.6689  0.0558 [2 per cell]
O  0.0175  0.0697  0.1929 [2 per cell]
O  0.0179  0.5708  0.6912 [2 per cell]
O  0.0268  0.8149  0.4428 [2 per cell]
O  0.4668  0.3197  0.4463 [2 per cell]
O  0.4822  0.4275  0.8056 [2 per cell]
O  0.4853  0.9318  0.3089 [2 per cell]
O  0.4966  0.2173  0.0582 [2 per cell]


Record 4
Diffraction record for Sr2MgV2Si4O14. The X-ray powder pattern is theoretical, not measured: it uses DFT lattice parameters and positions (GGA+U) and a wavelength of 1.5418 Å.

Peak list (6 most intense, 10 to 90 degrees two-theta, by intensity)
Position (°2θ)	intensity	h k l
30.3	100	1 2 0
27.5	92	1 1 -2
27.1	85	0 1 2
30.4	80	1 2 -1
34.8	63	0 2 2
32.5	49	2 0 -1

Cell and atoms:
abc: 5.5054 7.1640 7.8587
angles: 90.00 109.40 90.00
Space group Pm (No. 6)
Symmetry-distinct sites (fractional):
Sr  0.0000  0.0000  0.0000 [1 per cell]
Sr  0.3915  0.5000  0.8109 [1 per cell]
Mg  0.3926  0.0000  0.7564 [1 per cell]
V  0.0315  0.0000  0.4302 [1 per cell]
V  0.0858  0.5000  0.1958 [1 per cell]
Si  0.5771  0.2192  0.1889 [2 per cell]
Si  0.8055  0.2710  0.6273 [2 per cell]
O  0.0960  0.1879  0.7137 [2 per cell]
O  0.2081  0.5000  0.4180 [1 per cell]
O  0.2494  0.0000  0.3084 [1 per cell]
O  0.2980  0.3171  0.1024 [2 per cell]
O  0.5489  0.0000  0.0905 [1 per cell]
O  0.6211  0.2053  0.7376 [2 per cell]
O  0.7095  0.2039  0.4118 [2 per cell]
O  0.7964  0.3133  0.1175 [2 per cell]
O  0.8262  0.5000  0.6406 [1 per cell]


Record 5
Diffraction record for KCrO3. The X-ray powder pattern is theoretical, not measured: it uses DFT lattice parameters and positions (GGA+U) and a wavelength of 1.5418 Å.

Peak list (6 most intense, 10 to 90 degrees two-theta, by intensity)
Position (°2θ)	intensity	h k l
32.8	100	1 1 0
47.0	54	2 0 0
58.5	33	2 1 1
68.7	28	2 2 0
23.0	20	1 0 0
78.2	13	3 1 0

Cell and atoms:
abc: 3.8647 3.8647 3.8647
angles: 90.00 90.00 90.00
Space group Pm-3m (No. 221)
Symmetry-distinct sites (fractional):
K  0.0000  0.0000  0.0000 [1 per cell]
Cr  0.5000  0.5000  0.5000 [1 per cell]
O  0.0000  0.5000  0.5000 [3 per cell]


Record 6
Diffraction record for La6MgWO12. The X-ray powder pattern is theoretical, not measured: it uses DFT lattice parameters and positions (GGA+U) and a wavelength of 1.5418 Å.

Peak list (6 most intense, 10 to 90 degrees two-theta, by intensity)
Position (°2θ)	intensity	h k l
27.4	100	0 0 3
45.5	39	3 -1 4
31.7	31	1 2 2
53.9	24	4 1 3
53.9	9	2 4 1
56.5	7	6 -2 2

Cell and atoms:
abc: 10.5448 10.5448 9.7882
angles: 90.00 90.00 120.00
Space group R3 (No. 146, hexagonal axes)
Symmetry-distinct sites (fractional):
La  0.0335  0.7885  0.0000 [9 per cell]
La  0.1088  0.3785  0.3762 [9 per cell]
Mg  0.0000  0.0000  0.6053 [3 per cell]
W  0.0000  0.0000  0.3345 [3 per cell]
O  0.0331  0.8368  0.7328 [9 per cell]
O  0.0326  0.8397  0.2427 [9 per cell]
O  0.1378  0.4427  0.6220 [9 per cell]
O  0.1762  0.0401  0.4692 [9 per cell]


Record 7
Diffraction record for MnSb2Pb5O11. The X-ray powder pattern is theoretical, not measured: it uses DFT lattice parameters and positions (GGA+U) and a wavelength of 1.5418 Å.

Peak list (6 most intense, 10 to 90 degrees two-theta, by intensity)
Position (°2θ)	intensity	h k l
29.4	100	2 2 2
29.6	26	1 3 2
32.1	21	0 0 4
30.6	16	0 4 0
44.9	14	0 4 4
55.6	14	2 2 6

Cell and atoms:
abc: 9.2200 11.6982 11.1417
angles: 90.00 90.00 90.00
Space group Cmcm (No. 63)
Symmetry-distinct sites (fractional):
Mn  0.0000  0.0877  0.2500 [4 per cell]
Sb  0.1753  0.0000  0.0000 [8 per cell]
Pb  0.0000  0.2798  0.0246 [8 per cell]
Pb  0.0000  0.4987  0.2500 [4 per cell]
Pb  0.2255  0.2153  0.7500 [8 per cell]
O  0.0000  0.0615  0.6017 [8 per cell]
O  0.0000  0.2984  0.2500 [4 per cell]
O  0.1621  0.1384  0.1080 [16 per cell]
O  0.1844  0.4229  0.1074 [16 per cell]


Record 8
Diffraction record for Sr3CaCr2S2O5. The X-ray powder pattern is theoretical, not measured: it uses DFT lattice parameters and positions (GGA+U) and a wavelength of 1.5418 Å.

Peak list (6 most intense, 10 to 90 degrees two-theta, by intensity)
Position (°2θ)	intensity	h k l
31.6	100	1 0 7
31.8	49	1 1 0
45.5	46	2 0 0
36.4	42	1 0 9
56.5	36	2 1 7
37.2	23	1 1 6

Cell and atoms:
abc: 3.9837 3.9837 28.2587
angles: 90.00 90.00 90.00
Space group I-4m2 (No. 119)
Symmetry-distinct sites (fractional):
Sr  0.0000  0.0000  0.0000 [2 per cell]
Sr  0.0000  0.0000  0.1306 [4 per cell]
Ca  0.0000  0.5000  0.7500 [2 per cell]
Cr  0.0000  0.0000  0.4324 [4 per cell]
S  0.0000  0.0000  0.3159 [4 per cell]
O  0.0000  0.0000  0.5000 [2 per cell]
O  0.0000  0.5000  0.0756 [4 per cell]
O  0.0000  0.5000  0.5758 [4 per cell]